No. 1
This entry pairs a crystal structure of CoRu3 with its computed XRD peak list. Radiation: Cu Kα. Structure: a crystal structure in Alexandria, relaxed with PBE.
No peak broadening, texture or thermal motion is included.

Main lines, by angle (2θ = 10–80°):
- (0 0 1), 10.56 deg, intensity 6
- (0 0 2), 21.20 deg, intensity 2
- (0 0 3), 32.04 deg, intensity 2
- (1 0 0), 38.47 deg, intensity 26
- (1 0 1), 40.00 deg, intensity 3
- (0 0 4), 43.18 deg, intensity 24
- (1 0 2), 44.34 deg, intensity 100
- (1 0 4), 59.19 deg, intensity 14
- (1 0 5), 68.91 deg, intensity 1
- (1 1 0), 69.58 deg, intensity 17

Structural model:
```
data_CoRu3
_space_group_name_H-M_alt 'P -6 m 2'
_space_group_IT_number 187
_space_group_name_Hall 'P -6 2'
_cell_length_a 2.7023
_cell_length_b 2.7023
_cell_length_c 8.3799
_cell_angle_alpha 90.00
_cell_angle_beta 90.00
_cell_angle_gamma 120.00
loop_
_atom_site_label
_atom_site_fract_x
_atom_site_fract_y
_atom_site_fract_z
Co1 0.0000 0.0000 0.0000
Ru1 0.0000 0.0000 0.5000
Ru2 0.3333 0.6667 0.2443
```


No. 2
This entry pairs a crystal structure of BaCaNi2 with its computed XRD peak list. Radiation: Cu Kα. Structure: a crystal structure in Alexandria, relaxed with PBE.
No peak broadening, texture or thermal motion is included.

Main lines, by angle (2θ = 10–80°):
- (0 0 2), 15.34 deg, intensity 38
- (0 1 1), 21.80 deg, intensity 26
- (1 0 2), 26.25 deg, intensity 29
- (1 1 1), 30.57 deg, intensity 95
- (0 1 3), 30.98 deg, intensity 100
- (1 0 4), 37.83 deg, intensity 91
- (0 2 0), 41.44 deg, intensity 30
- (2 0 0), 43.13 deg, intensity 26
- (2 1 3), 54.04 deg, intensity 40
- (1 2 4), 57.34 deg, intensity 21

Structural model:
```
data_BaCaNi2
_space_group_name_H-M_alt 'A m m 2'
_space_group_IT_number 38
_space_group_name_Hall 'A 2 -2'
_cell_length_a 4.1953
_cell_length_b 4.3583
_cell_length_c 11.5531
_cell_angle_alpha 90.00
_cell_angle_beta 90.00
_cell_angle_gamma 90.00
loop_
_atom_site_label
_atom_site_fract_x
_atom_site_fract_y
_atom_site_fract_z
Ba1 0.0000 0.0000 0.0000
Ca1 0.5000 0.0000 0.2744
Ni1 0.0000 0.0000 0.7024
Ni2 0.5000 0.0000 0.6177
```